Simulated powder XRD pattern
Compound: RbNd2CoO4
Radiation: Cu Kα X-rays
Structure: a crystal structure in Alexandria, relaxed with PBE+U

Atomic structure:
a b c (Å): 6.411 6.411 12.244
angles (deg): 90.00 90.00 147.20
Fractional coordinates of all 16 atoms:
Rb (0.089, 0.911, 0.750)
Rb (0.911, 0.089, 0.250)
Nd (0.367, 0.633, 0.560)
Nd (0.367, 0.633, 0.940)
Nd (0.633, 0.367, 0.060)
Nd (0.633, 0.367, 0.440)
Co (0.186, 0.814, 0.250)
Co (0.814, 0.186, 0.750)
O (0.000, 0.000, 0.000)
O (0.000, 0.000, 0.500)
O (0.253, 0.747, 0.099)
O (0.253, 0.747, 0.401)
O (0.410, 0.590, 0.750)
O (0.590, 0.410, 0.250)
O (0.747, 0.253, 0.599)
O (0.747, 0.253, 0.901)

Top 10 peaks for 2θ = 10–90°, low angle first:
d (Å)	Position (°2θ)	intensity
5.496	16.1	33
3.401	26.2	100
3.075	29.0	44
3.021	29.6	82
2.714	33.0	24
2.648	33.9	95
2.481	36.2	70
2.275	39.6	28
1.820	50.1	79
1.810	50.4	26